1.
Starting from a structure optimized by DFT (PBE), the XRD peak list of Cd9In2Hg4 was calculated for CuKα.
Lines closer than 0.1° are merged.

Structure:
```
Cd9In2Hg4
1.0
5.013 0.000 0.000
-2.506 4.341 0.000
0.000 0.000 17.464
Cd In Hg
9 2 4
Direct
0.000 0.000 0.000
0.000 0.000 0.173
0.000 0.000 0.343
0.000 0.000 0.657
0.000 0.000 0.827
0.333 0.667 0.058
0.333 0.667 0.448
0.667 0.333 0.552
0.667 0.333 0.942
0.333 0.667 0.257
0.667 0.333 0.743
0.333 0.667 0.618
0.333 0.667 0.864
0.667 0.333 0.136
0.667 0.333 0.382
```

Peak list (8 most intense, 10° ≤ 2θ ≤ 80°, in order of falling intensity)
| two_theta | intensity |
| --- | --- |
| 35.83 | 100.0 |
| 32.91 | 71.3 |
| 37.19 | 23.9 |
| 49.44 | 22.5 |
| 62.54 | 21.9 |
| 64.38 | 19.0 |
| 25.59 | 15.6 |
| 75.93 | 12.7 |

---

2.
Starting from a structure optimized by DFT (PBE), the XRD peak list of Cd9In2Hg3 was calculated for CuKα.
Lines closer than 0.1° are merged.

Structure:
```
Cd9In2Hg3
1.0
5.228 0.000 0.000
-1.945 8.377 0.000
-1.771 -4.039 7.622
Cd In Hg
9 2 3
Direct
0.000 0.000 0.000
0.066 0.349 0.565
0.138 0.711 0.146
0.219 0.076 0.716
0.294 0.442 0.296
0.706 0.558 0.704
0.781 0.924 0.284
0.862 0.289 0.854
0.934 0.651 0.435
0.351 0.777 0.853
0.649 0.223 0.147
0.419 0.136 0.422
0.500 0.500 0.000
0.581 0.864 0.578
```

Peak list (8 most intense, 10° ≤ 2θ ≤ 80°, in order of falling intensity)
| two_theta | intensity |
| --- | --- |
| 32.06 | 100.0 |
| 32.57 | 95.0 |
| 34.73 | 80.1 |
| 37.09 | 67.4 |
| 39.12 | 58.1 |
| 39.64 | 56.5 |
| 40.19 | 53.4 |
| 51.94 | 25.2 |

---

Copy entry 2 word for word.
Starting from a structure optimized by DFT (PBE), the XRD peak list of Cd9In2Hg3 was calculated for CuKα.
Lines closer than 0.1° are merged.

Structure:
```
Cd9In2Hg3
1.0
5.228 0.000 0.000
-1.945 8.377 0.000
-1.771 -4.039 7.622
Cd In Hg
9 2 3
Direct
0.000 0.000 0.000
0.066 0.349 0.565
0.138 0.711 0.146
0.219 0.076 0.716
0.294 0.442 0.296
0.706 0.558 0.704
0.781 0.924 0.284
0.862 0.289 0.854
0.934 0.651 0.435
0.351 0.777 0.853
0.649 0.223 0.147
0.419 0.136 0.422
0.500 0.500 0.000
0.581 0.864 0.578
```

Peak list (8 most intense, 10° ≤ 2θ ≤ 80°, in order of falling intensity)
| two_theta | intensity |
| --- | --- |
| 32.06 | 100.0 |
| 32.57 | 95.0 |
| 34.73 | 80.1 |
| 37.09 | 67.4 |
| 39.12 | 58.1 |
| 39.64 | 56.5 |
| 40.19 | 53.4 |
| 51.94 | 25.2 |